TbDy3Si4: calculated powder XRD pattern (Cu Kα X-rays), based on DFT lattice parameters and positions (GGA-PBE).

Cell and atoms:
```
data_TbDy3Si4
_cell_length_a 5.7080
_cell_length_b 3.8387
_cell_length_c 7.9154
_cell_angle_alpha 90.00
_cell_angle_beta 90.02
_cell_angle_gamma 90.00
_space_group_name_H-M_alt 'P 1 m 1'
_space_group_IT_number 6
_space_group_name_Hall 'P -2y'
loop_
_atom_site_label
_atom_site_type_symbol
_atom_site_fract_x
_atom_site_fract_y
_atom_site_fract_z
Tb1 Tb 0.0000 0.0000 0.0000
Dy1 Dy 0.2300 0.5000 0.3582
Dy2 Dy 0.4999 0.5000 0.8581
Dy3 Dy 0.7300 0.0000 0.5000
Si1 Si 0.2438 0.0000 0.6410
Si2 Si 0.4861 0.0000 0.1411
Si3 Si 0.7437 0.5000 0.2172
Si4 Si 0.9861 0.5000 0.7169
```

Peak list (12 most intense, 2θ = 5–70°, most intense first)
| Position (°2θ) | d [Å] | intensity | (hkl) |
| --- | --- | --- | --- |
| 30.24 | 2.955 | 100 | 1 1 -1 |
| 33.37 | 2.685 | 81 | 2 0 1 |
| 32.49 | 2.755 | 73 | 0 1 2 |
| 37.55 | 2.395 | 45 | 1 0 3 |
| 36.20 | 2.481 | 42 | 1 1 2 |
| 52.95 | 1.729 | 41 | 2 1 3 |
| 28.01 | 3.185 | 40 | 1 1 0 |
| 41.02 | 2.200 | 38 | 2 1 -1 |
| 59.17 | 1.561 | 31 | 2 2 1 |
| 27.42 | 3.252 | 31 | 1 0 -2 |
| 22.47 | 3.958 | 26 | 0 0 2 |
| 47.36 | 1.919 | 24 | 0 2 0 |